# SrHg4F12
Calculated powder XRD pattern, CuKα. Input: a GGA-PBE-relaxed structure.
Peak positions follow from Bragg's law for the DFT cell and can differ from measured ones.

Atomic structure:
```
data_SrHg4F12
_symmetry_space_group_name_H-M 'I m -3'
_symmetry_Int_Tables_number 204
_symmetry_space_group_name_Hall '-I 2 2 3'
_cell_length_a 8.712
_cell_length_b 8.712
_cell_length_c 8.712
_cell_angle_alpha 90.00
_cell_angle_beta 90.00
_cell_angle_gamma 90.00
loop_
_atom_site_label
_atom_site_type_symbol
_atom_site_fract_x
_atom_site_fract_y
_atom_site_fract_z
Sr1 Sr 0.000 0.000 0.000
Hg1 Hg 0.250 0.250 0.250
F1 F 0.000 0.255 0.187
```

Top 10 peaks for 2θ = 10–90°, low angle first:
d (Å)	2theta	I/Imax	hkl
4.356	20.39	100	2 0 0
3.080	28.99	94	2 2 0
2.515	35.70	17	2 2 2
2.178	41.46	30	4 0 0
1.948	46.63	48	4 2 0
1.778	51.38	48	4 2 2
1.540	60.08	17	4 4 0
1.452	64.14	22	4 4 2
1.377	68.07	18	6 2 0
1.164	82.94	25	6 2 4